1.
Diffraction record for Cr2CuS4. The X-ray diffraction stick pattern is theoretical, not measured: it uses the PBE geometry in the Materials Project and Cu Kα X-rays.
Neutral-atom scattering factors, no anomalous dispersion.

Atomic structure:
Unit cell a=6.240 b=7.212 c=12.001 alpha=98.12 beta=94.71 gamma=90.36
Space group P-1 (No. 2)
Unique sites:
Cr (0.128, 0.450, 0.297) [2 per cell]
Cr (0.131, 0.947, 0.294) [2 per cell]
Cr (0.257, 0.622, 0.999) [2 per cell]
Cr (0.355, 0.800, 0.705) [2 per cell]
Cu (0.249, 0.127, 0.999) [2 per cell]
Cu (0.372, 0.299, 0.706) [2 per cell]
S (0.095, 0.405, 0.107) [2 per cell]
S (0.107, 0.898, 0.107) [2 per cell]
S (0.186, 0.032, 0.633) [2 per cell]
S (0.190, 0.532, 0.632) [2 per cell]
S (0.303, 0.718, 0.369) [2 per cell]
S (0.317, 0.216, 0.366) [2 per cell]
S (0.397, 0.847, 0.891) [2 per cell]
S (0.402, 0.354, 0.898) [2 per cell]

Most intense lines, 2θ = 5–70°, in order of falling intensity:
22.53 deg, I 1000, (0 0 3)
29.05 deg, I 570, (2 0 -1)
35.20 deg, I 533, (1 -2 3)
7.47 deg, I 524, (0 0 1)
52.82 deg, I 485, (1 -2 6)
50.81 deg, I 363, (3 2 -1)
28.76 deg, I 355, (2 0 0)
50.63 deg, I 306, (0 4 -1)
50.52 deg, I 306, (3 -2 0)
35.05 deg, I 263, (1 2 2)

=====

2.
Diffraction record for Ca3BiN. The X-ray diffraction stick pattern is theoretical, not measured: it uses the PBE geometry in the Materials Project and Cu Kα X-rays.
Neutral-atom scattering factors, no anomalous dispersion.

Atomic structure:
Unit cell a=4.920 b=4.920 c=4.920 alpha=90.00 beta=90.00 gamma=90.00
Space group Pm-3m (No. 221)
Unique sites:
Ca (0.000, 0.000, 0.500) [3 per cell]
Bi (0.500, 0.500, 0.500) [1 per cell]
N (0.000, 0.000, 0.000) [1 per cell]

Most intense lines, 2θ = 5–70°, in order of falling intensity:
31.50 deg, I 1000, (1 1 1)
25.61 deg, I 769, (1 1 0)
36.53 deg, I 591, (2 0 0)
18.03 deg, I 578, (1 0 0)
62.63 deg, I 413, (3 1 1)
52.62 deg, I 401, (2 2 0)
45.14 deg, I 352, (2 1 1)
41.02 deg, I 339, (2 1 0)
56.08 deg, I 183, (3 0 0)
59.41 deg, I 159, (3 1 0)

=====

3.
Diffraction record for Cr2CuS4. The X-ray diffraction stick pattern is theoretical, not measured: it uses the PBE geometry in the Materials Project and Cu Kα X-rays.
Neutral-atom scattering factors, no anomalous dispersion.

Atomic structure:
Unit cell a=11.310 b=3.408 c=11.801 alpha=90.00 beta=90.00 gamma=90.00
Space group Pnma (No. 62)
Unique sites:
Cr (0.110, 0.250, 0.080) [4 per cell]
Cr (0.144, 0.250, 0.706) [4 per cell]
Cu (0.125, 0.750, 0.423) [4 per cell]
S (0.032, 0.250, 0.882) [4 per cell]
S (0.033, 0.750, 0.614) [4 per cell]
S (0.214, 0.250, 0.254) [4 per cell]
S (0.248, 0.750, 0.030) [4 per cell]

Most intense lines, 2θ = 5–70°, in order of falling intensity:
36.34 deg, I 1000, (3 1 1)
38.75 deg, I 865, (3 1 2)
27.62 deg, I 794, (2 0 3)
34.28 deg, I 767, (2 0 4)
53.94 deg, I 521, (6 0 3)
47.54 deg, I 437, (1 1 5)
50.86 deg, I 421, (5 1 2)
53.79 deg, I 350, (0 2 0)
53.08 deg, I 180, (3 1 5)
41.46 deg, I 171, (2 0 5)

=====

4.
Diffraction record for Tb5Re2O12. The X-ray diffraction stick pattern is theoretical, not measured: it uses the PBE geometry in the Materials Project and Cu Kα X-rays.
Neutral-atom scattering factors, no anomalous dispersion.

Atomic structure:
Unit cell a=12.522 b=5.698 c=7.609 alpha=90.00 beta=107.95 gamma=90.00
Space group C2/m (No. 12)
Unique sites:
Tb (0.000, 0.000, 0.000) [2 per cell]
Tb (0.186, 0.500, 0.326) [4 per cell]
Tb (0.196, 0.500, 0.860) [4 per cell]
Re (0.000, 0.215, 0.500) [4 per cell]
O (0.000, 0.000, 0.294) [4 per cell]
O (0.001, 0.500, 0.676) [4 per cell]
O (0.154, 0.252, 0.075) [8 per cell]
O (0.165, 0.254, 0.586) [8 per cell]

Most intense lines, 2θ = 5–70°, in order of falling intensity:
28.20 deg, I 1000, (1 1 -2)
27.38 deg, I 971, (3 1 0)
32.52 deg, I 384, (4 0 -2)
32.67 deg, I 380, (2 0 2)
55.89 deg, I 287, (4 2 2)
40.26 deg, I 285, (0 2 2)
47.82 deg, I 253, (2 0 -4)
33.81 deg, I 233, (0 2 1)
45.70 deg, I 218, (6 0 0)
34.91 deg, I 212, (2 2 0)